1.
This entry pairs a crystal structure of BaNpPb2O8 with its computed X-ray diffraction stick pattern. Radiation: Cu Ka. Structure: a crystal structure in Alexandria, relaxed with GGA-PBE.

The 10 most intense peaks (15° ≤ 2θ ≤ 90°), sorted by position:
2theta, I_rel
23.31, 55.4
23.74, 53.2
29.77, 100.0
33.52, 32.9
45.19, 40.8
45.67, 37.9
53.93, 10.1
56.37, 11.0
57.62, 22.7
61.83, 13.4

Cell and atoms:
```
BaNpPb2O8
1.0
5.3455 0.0000 0.0000
0.0000 7.2526 0.0000
-0.0962 0.0000 5.3501
Ba Np Pb O
1 1 2 8
Cartesian
0.0000 0.0000 0.0000
0.0000 3.6263 0.0000
2.6247 1.8469 2.6751
2.6247 5.4056 2.6751
0.9487 2.2336 0.9764
0.9487 5.0190 0.9764
1.5427 3.6263 3.7464
1.7104 0.0000 3.5976
3.5390 0.0000 1.7525
3.7067 3.6263 1.6037
4.3007 2.2336 4.3738
4.3007 5.0190 4.3738
```



2.
This entry pairs a crystal structure of MnInCu4 with its computed X-ray diffraction stick pattern. Radiation: Cu Ka. Structure: a crystal structure in Alexandria, relaxed with GGA-PBE.

The 10 most intense peaks (15° ≤ 2θ ≤ 90°), sorted by position:
2theta, I_rel
23.50, 16.6
36.10, 35.6
40.04, 72.6
42.93, 100.0
43.53, 81.3
45.81, 15.7
67.57, 26.1
69.62, 21.7
74.30, 25.7
76.59, 23.3

Cell and atoms:
```
MnInCu4
1.0
4.9760 0.0000 0.0000
-2.4880 4.3094 0.0000
0.0000 0.0000 7.9229
Mn In Cu
2 2 8
Cartesian
0.0000 2.8729 0.0000
2.4880 1.4365 3.9615
0.0000 2.8729 2.9621
2.4880 1.4365 6.9236
0.0000 0.0000 3.4598
0.0000 0.0000 7.4213
0.0000 1.4625 5.4399
-1.2214 3.5781 5.4399
1.2666 0.7313 1.4784
1.2214 3.5781 5.4399
3.7095 0.7313 1.4784
2.4880 2.8469 1.4784
```



3.
This entry pairs a crystal structure of YSe6Cl12 with its computed X-ray diffraction stick pattern. Radiation: Cu Ka. Structure: a crystal structure in Alexandria, relaxed with GGA-PBE.

The 10 most intense peaks (15° ≤ 2θ ≤ 90°), sorted by position:
2theta, I_rel
16.11, 100.0
23.44, 46.6
26.76, 33.8
31.10, 25.9
34.46, 27.4
34.73, 14.3
37.24, 13.8
39.87, 19.5
41.99, 13.1
49.21, 14.6

Cell and atoms:
```
YSe6Cl12
1.0
3.9855 2.3010 12.1388
-3.9855 2.3010 12.1388
0.0000 -4.6020 12.1388
Y Se Cl
1 6 12
Cartesian
0.0000 0.0000 0.0000
-0.3037 -1.4291 9.1864
-1.0858 0.9776 9.1864
1.3895 0.4515 9.1864
-1.3895 -0.4515 27.2301
1.0858 -0.9776 27.2301
0.3037 1.4291 27.2301
-0.6439 -2.5266 13.6647
-2.5877 -0.2376 16.9554
-1.0880 -2.3598 19.4611
-2.5100 -0.7057 22.7518
-1.8661 1.8209 13.6647
1.4996 -2.1221 16.9554
-1.4996 2.1222 19.4611
1.8661 -1.8209 22.7518
2.5100 0.7057 13.6647
1.0880 2.3598 16.9554
2.5877 0.2376 19.4611
0.6439 2.5266 22.7518
```



4.
This entry pairs a crystal structure of NaSb3Se4 with its computed X-ray diffraction stick pattern. Radiation: Cu Ka. Structure: a crystal structure in Alexandria, relaxed with GGA-PBE.

The 10 most intense peaks (15° ≤ 2θ ≤ 90°), sorted by position:
2theta, I_rel
29.09, 100.0
29.94, 99.9
30.21, 99.2
42.23, 69.8
42.44, 70.1
43.05, 72.4
52.80, 71.2
70.70, 29.8
78.21, 21.4
78.63, 21.4

Cell and atoms:
```
NaSb3Se4
1.0
11.8333 0.0000 0.0000
0.0000 6.1385 0.0000
0.0000 0.0000 5.9698
Na Sb Se
2 6 8
Cartesian
0.0000 1.5104 0.0000
5.9166 4.6280 2.9849
0.0000 4.4622 2.9105
2.9419 1.5573 2.9636
2.9748 4.5811 5.9485
5.9166 1.6763 5.8955
8.8585 4.5811 5.9485
8.8914 1.5573 2.9636
0.0000 1.6807 2.9852
0.0000 4.6140 0.1713
2.8793 4.3285 2.9074
3.0373 1.8100 5.8923
5.9166 1.5244 3.1562
5.9166 4.4578 0.0002
8.7960 1.8100 5.8923
8.9540 4.3285 2.9074
```



5.
This entry pairs a crystal structure of Pr3CdOs with its computed X-ray diffraction stick pattern. Radiation: Cu Ka. Structure: a crystal structure in Alexandria, relaxed with GGA-PBE.

The 10 most intense peaks (15° ≤ 2θ ≤ 90°), sorted by position:
2theta, I_rel
20.41, 15.3
29.78, 42.6
31.54, 36.9
33.61, 100.0
34.41, 49.9
34.97, 22.1
37.26, 33.8
38.75, 32.5
41.50, 15.4
54.42, 32.5

Cell and atoms:
```
Pr3CdOs
1.0
0.0000 5.1313 8.2038
3.3750 0.0000 8.2038
3.3750 5.1313 0.0000
Pr Cd Os
6 2 2
Cartesian
3.3750 3.1550 6.4070
3.3750 5.1313 3.2992
3.3750 3.1550 10.0006
3.3750 7.1075 6.4070
3.3750 5.1313 13.1084
3.3750 7.1075 10.0006
5.3680 5.1313 8.2038
1.3821 5.1313 8.2038
1.6875 2.5656 4.1019
5.0625 7.6969 12.3057
```



6.
This entry pairs a crystal structure of Ho2Zr3Pb4 with its computed X-ray diffraction stick pattern. Radiation: Cu Ka. Structure: a crystal structure in Alexandria, relaxed with GGA-PBE.

The 10 most intense peaks (15° ≤ 2θ ≤ 90°), sorted by position:
2theta, I_rel
29.60, 51.7
29.98, 43.8
31.88, 83.5
32.19, 40.4
32.59, 32.9
32.89, 100.0
35.63, 32.8
35.90, 60.1
36.09, 28.7
36.26, 78.4

Cell and atoms:
```
Ho2Zr3Pb4
1.0
7.9995 0.0000 0.0000
0.0000 7.9878 0.0000
-2.8062 0.0000 7.3018
Ho Zr Pb
4 6 8
Cartesian
1.3221 1.3610 0.3777
-0.0810 2.6329 4.0286
5.2744 5.3549 3.2732
3.8713 6.6268 6.9241
1.3342 5.3655 1.7900
-0.0689 6.6161 5.4409
2.5967 0.0000 3.6509
3.9997 3.9939 0.0000
5.2623 1.3716 1.8610
3.8592 2.6223 5.5119
-1.6816 4.2694 6.1461
-0.2785 7.7122 2.4952
1.4516 1.1324 6.2406
2.8547 2.8615 2.5897
2.3387 5.1263 4.7121
3.7417 6.8553 1.0612
5.4718 0.2756 4.8066
6.8749 3.7183 1.1557
```



7.
This entry pairs a crystal structure of Nd3Mg5Ag2 with its computed X-ray diffraction stick pattern. Radiation: Cu Ka. Structure: a crystal structure in Alexandria, relaxed with GGA-PBE.

The 10 most intense peaks (15° ≤ 2θ ≤ 90°), sorted by position:
2theta, I_rel
19.73, 75.5
26.41, 52.0
30.93, 32.9
33.19, 100.0
34.66, 33.7
36.33, 38.2
40.09, 27.3
48.65, 19.6
54.04, 28.4
67.15, 20.0

Cell and atoms:
```
Nd3Mg5Ag2
1.0
10.6720 0.0000 0.0000
0.0000 10.6720 0.0000
0.0000 0.0000 4.4986
Nd Mg Ag
6 10 4
Cartesian
0.0000 0.0000 0.0000
1.9138 3.4222 0.0000
3.4222 8.7582 0.0000
5.3360 5.3360 0.0000
7.2498 1.9138 0.0000
8.7582 7.2498 0.0000
0.0000 5.3360 2.2493
0.6798 8.3490 2.2493
2.3231 0.6798 2.2493
3.0130 6.0158 2.2493
4.6562 3.0130 2.2493
5.3360 0.0000 2.2493
6.0158 7.6591 2.2493
7.6591 4.6562 2.2493
8.3490 9.9923 2.2493
9.9923 2.3231 2.2493
1.2299 6.5659 0.0000
4.1062 1.2299 0.0000
6.5659 9.4422 0.0000
9.4422 4.1062 0.0000
```



8.
This entry pairs a crystal structure of Ca4PF5 with its computed X-ray diffraction stick pattern. Radiation: Cu Ka. Structure: a crystal structure in Alexandria, relaxed with GGA-PBE.

The 10 most intense peaks (15° ≤ 2θ ≤ 90°), sorted by position:
2theta, I_rel
23.69, 19.1
26.48, 66.9
29.66, 10.5
35.62, 100.0
35.83, 10.7
40.20, 22.4
47.01, 25.1
49.05, 74.5
53.42, 15.0
88.90, 10.9

Cell and atoms:
```
Ca4PF5
1.0
7.5496 -1.9329 0.0000
7.5496 1.9329 0.0000
-3.1084 0.0000 6.1165
Ca P F
4 1 5
Cartesian
-0.7179 0.0000 1.4221
12.7087 0.0000 4.6944
3.5392 0.0000 1.8031
8.4517 0.0000 4.3135
5.9954 0.0000 3.0583
1.3138 0.0000 2.6831
-0.1731 0.0000 5.6026
7.5496 0.0000 0.0000
12.1640 0.0000 0.5139
10.6770 0.0000 3.4335
```



9.
This entry pairs a crystal structure of ErTm10Th4 with its computed X-ray diffraction stick pattern. Radiation: Cu Ka. Structure: a crystal structure in Alexandria, relaxed with GGA-PBE.

The 10 most intense peaks (15° ≤ 2θ ≤ 90°), sorted by position:
2theta, I_rel
28.07, 64.3
31.10, 52.2
32.05, 96.7
32.41, 100.0
34.39, 31.3
35.76, 23.0
41.50, 40.3
45.96, 23.2
54.35, 26.0
68.42, 27.3

Cell and atoms:
```
ErTm10Th4
1.0
-5.5846 5.5846 3.8655
5.5846 -5.5846 3.8655
5.5846 5.5846 -3.8655
Er Tm Th
1 10 4
Cartesian
0.0000 0.0000 0.0000
5.5846 3.2546 -1.6015
5.5846 0.0000 1.9327
3.2546 5.5846 -1.6015
2.3300 0.0000 2.2640
5.5846 3.2546 1.6015
0.0000 2.3300 2.2640
3.2546 5.5846 1.6015
2.3300 0.0000 5.4670
0.0000 5.5846 1.9327
0.0000 2.3300 5.4670
2.5395 2.5395 0.0000
3.0451 -3.0451 3.8655
-3.0451 3.0451 3.8655
3.0451 3.0451 3.8655
```



10.
This entry pairs a crystal structure of Ac2Mg5Rh4 with its computed X-ray diffraction stick pattern. Radiation: Cu Ka. Structure: a crystal structure in Alexandria, relaxed with GGA-PBE.

The 10 most intense peaks (15° ≤ 2θ ≤ 90°), sorted by position:
2theta, I_rel
15.35, 36.8
24.64, 33.9
28.38, 49.6
30.33, 37.6
33.45, 100.0
34.16, 28.1
39.46, 36.5
46.24, 38.6
52.66, 30.8
55.90, 23.2

Cell and atoms:
```
Ac2Mg5Rh4
1.0
0.0000 5.7735 7.2259
2.9468 0.0000 7.2259
2.9468 5.7735 0.0000
Ac Mg Rh
2 5 4
Cartesian
2.9468 5.7735 2.2595
2.9468 5.7735 12.1923
1.4734 2.8867 0.0000
1.4734 2.8867 3.6129
1.4734 2.8867 7.2259
2.9468 5.7735 7.2259
4.4203 8.6602 10.8388
2.9468 4.3139 5.2004
2.9468 7.2330 5.2004
2.9468 4.3139 9.2513
2.9468 7.2330 9.2513
```



11.
This entry pairs a crystal structure of Dy8In5H with its computed X-ray diffraction stick pattern. Radiation: Cu Ka. Structure: a crystal structure in Alexandria, relaxed with GGA-PBE.

The 10 most intense peaks (15° ≤ 2θ ≤ 90°), sorted by position:
2theta, I_rel
28.70, 48.4
28.91, 24.1
32.02, 47.6
32.41, 69.0
34.14, 36.6
35.43, 100.0
37.20, 16.6
38.23, 15.4
51.11, 16.3
53.23, 14.9

Cell and atoms:
```
Dy8In5H
1.0
-4.3677 4.3677 4.9921
4.3677 -4.3677 4.9921
4.3677 4.3677 -4.9921
Dy In H
8 5 1
Cartesian
6.3306 0.3596 -0.0884
3.6581 2.7484 -1.2901
0.3596 2.4048 0.0884
1.6193 -0.7096 6.2823
0.7096 1.6193 3.7020
2.7484 5.0773 1.2901
4.0081 1.9629 5.0805
-1.9629 4.0081 4.9038
2.4129 -0.9785 3.1108
3.3892 1.9548 1.8813
1.9548 5.3462 -1.8813
0.0000 4.3677 2.4961
0.9785 2.4129 6.8735
0.0000 0.0000 0.0000
```



Repeat the seventh record exactly.
This entry pairs a crystal structure of Nd3Mg5Ag2 with its computed X-ray diffraction stick pattern. Radiation: Cu Ka. Structure: a crystal structure in Alexandria, relaxed with GGA-PBE.

The 10 most intense peaks (15° ≤ 2θ ≤ 90°), sorted by position:
2theta, I_rel
19.73, 75.5
26.41, 52.0
30.93, 32.9
33.19, 100.0
34.66, 33.7
36.33, 38.2
40.09, 27.3
48.65, 19.6
54.04, 28.4
67.15, 20.0

Cell and atoms:
```
Nd3Mg5Ag2
1.0
10.6720 0.0000 0.0000
0.0000 10.6720 0.0000
0.0000 0.0000 4.4986
Nd Mg Ag
6 10 4
Cartesian
0.0000 0.0000 0.0000
1.9138 3.4222 0.0000
3.4222 8.7582 0.0000
5.3360 5.3360 0.0000
7.2498 1.9138 0.0000
8.7582 7.2498 0.0000
0.0000 5.3360 2.2493
0.6798 8.3490 2.2493
2.3231 0.6798 2.2493
3.0130 6.0158 2.2493
4.6562 3.0130 2.2493
5.3360 0.0000 2.2493
6.0158 7.6591 2.2493
7.6591 4.6562 2.2493
8.3490 9.9923 2.2493
9.9923 2.3231 2.2493
1.2299 6.5659 0.0000
4.1062 1.2299 0.0000
6.5659 9.4422 0.0000
9.4422 4.1062 0.0000
```



What did the seventh record say?
This entry pairs a crystal structure of Nd3Mg5Ag2 with its computed X-ray diffraction stick pattern. Radiation: Cu Ka. Structure: a crystal structure in Alexandria, relaxed with GGA-PBE.

The 10 most intense peaks (15° ≤ 2θ ≤ 90°), sorted by position:
2theta, I_rel
19.73, 75.5
26.41, 52.0
30.93, 32.9
33.19, 100.0
34.66, 33.7
36.33, 38.2
40.09, 27.3
48.65, 19.6
54.04, 28.4
67.15, 20.0

Cell and atoms:
```
Nd3Mg5Ag2
1.0
10.6720 0.0000 0.0000
0.0000 10.6720 0.0000
0.0000 0.0000 4.4986
Nd Mg Ag
6 10 4
Cartesian
0.0000 0.0000 0.0000
1.9138 3.4222 0.0000
3.4222 8.7582 0.0000
5.3360 5.3360 0.0000
7.2498 1.9138 0.0000
8.7582 7.2498 0.0000
0.0000 5.3360 2.2493
0.6798 8.3490 2.2493
2.3231 0.6798 2.2493
3.0130 6.0158 2.2493
4.6562 3.0130 2.2493
5.3360 0.0000 2.2493
6.0158 7.6591 2.2493
7.6591 4.6562 2.2493
8.3490 9.9923 2.2493
9.9923 2.3231 2.2493
1.2299 6.5659 0.0000
4.1062 1.2299 0.0000
6.5659 9.4422 0.0000
9.4422 4.1062 0.0000
```